# 1
# Na3In2Hg4Pb2
Theoretical X-ray powder pattern, CuKα. Input: a structure optimized by DFT (PBE).

Principal peaks in the range 2θ from 5° to 70°, by angle:
d_spacing	I/Imax	h k l
4.396	72	1 0 0
3.500	21	0 0 4
3.200	34	1 0 3
2.738	55	0 1 4
2.538	100	1 1 0
2.361	36	1 0 5
2.055	29	1 1 4
1.861	18	2 0 4
1.501	18	1 2 4
1.466	27	3 0 0

a b c (Å): 5.0762 5.0762 13.9981
angles (deg): 90.00 90.00 120.00
Fractional positions:
Na 0.0000 0.0000 0.0000
Na 0.0000 0.0000 0.2575
Na 0.0000 0.0000 0.7425
In 0.3333 0.6667 0.1294
In 0.6667 0.3333 0.8706
Hg 0.3333 0.6667 0.3385
Hg 0.3333 0.6667 0.8861
Hg 0.6667 0.3333 0.1139
Hg 0.6667 0.3333 0.6615
Pb 0.3333 0.6667 0.5622
Pb 0.6667 0.3333 0.4378

# 2
# RbNaInHg2
Theoretical X-ray powder pattern, CuKα. Input: a structure optimized by DFT (PBE).

Principal peaks in the range 2θ from 5° to 70°, by angle:
d_spacing	I/Imax	h k l
4.649	100	1 0 1
3.500	55	1 1 0
3.334	78	1 0 3
3.109	60	1 1 2
2.475	74	2 0 0
2.432	67	1 1 4
2.375	73	1 0 5
2.185	30	2 1 1
1.987	37	2 1 3
1.714	54	2 1 5

a b c (Å): 4.9503 4.9503 13.5311
angles (deg): 90.00 90.00 90.00
Fractional positions:
Rb 0.0000 0.0000 0.0000
Rb 0.5000 0.5000 0.5000
Na 0.0000 0.5000 0.2500
Na 0.5000 0.0000 0.7500
In 0.0000 0.5000 0.7500
In 0.5000 0.0000 0.2500
Hg 0.0000 0.0000 0.3880
Hg 0.0000 0.0000 0.6120
Hg 0.5000 0.5000 0.1120
Hg 0.5000 0.5000 0.8880

Copy entry 2 word for word.
# RbNaInHg2
Theoretical X-ray powder pattern, CuKα. Input: a structure optimized by DFT (PBE).

Principal peaks in the range 2θ from 5° to 70°, by angle:
d_spacing	I/Imax	h k l
4.649	100	1 0 1
3.500	55	1 1 0
3.334	78	1 0 3
3.109	60	1 1 2
2.475	74	2 0 0
2.432	67	1 1 4
2.375	73	1 0 5
2.185	30	2 1 1
1.987	37	2 1 3
1.714	54	2 1 5

a b c (Å): 4.9503 4.9503 13.5311
angles (deg): 90.00 90.00 90.00
Fractional positions:
Rb 0.0000 0.0000 0.0000
Rb 0.5000 0.5000 0.5000
Na 0.0000 0.5000 0.2500
Na 0.5000 0.0000 0.7500
In 0.0000 0.5000 0.7500
In 0.5000 0.0000 0.2500
Hg 0.0000 0.0000 0.3880
Hg 0.0000 0.0000 0.6120
Hg 0.5000 0.5000 0.1120
Hg 0.5000 0.5000 0.8880